# Mn3Bi2O8
Theoretical XRD peak list, CuKα. Input: the GGA+U geometry in Alexandria.
Kinematic intensities with the Lorentz-polarization factor, no thermal factor.

Crystal structure
abc: 6.106 6.106 11.484
angles: 90.00 90.00 120.00
Sites, in units of the cell vectors:
Mn 0.165 0.329 0.000
Mn 0.165 0.835 0.000
Mn 0.329 0.165 0.500
Mn 0.671 0.835 0.000
Mn 0.835 0.165 0.500
Mn 0.835 0.671 0.500
Bi 0.333 0.667 0.305
Bi 0.333 0.667 0.688
Bi 0.667 0.333 0.188
Bi 0.667 0.333 0.805
O 0.000 0.000 0.078
O 0.000 0.000 0.578
O 0.025 0.513 0.104
O 0.160 0.320 0.405
O 0.160 0.840 0.405
O 0.320 0.160 0.905
O 0.333 0.667 0.923
O 0.487 0.513 0.104
O 0.487 0.975 0.104
O 0.513 0.025 0.604
O 0.513 0.487 0.604
O 0.667 0.333 0.423
O 0.680 0.840 0.405
O 0.840 0.160 0.905
O 0.840 0.680 0.905
O 0.975 0.487 0.604

The 12 most intense peaks (2θ from 5° to 70°), low angle first:
16.76°, d 5.288, intensity 38.2
22.86°, d 3.890, intensity 46.1
28.79°, d 3.101, intensity 100.0
29.25°, d 3.053, intensity 44.8
33.23°, d 2.696, intensity 63.8
33.90°, d 2.644, intensity 16.1
34.82°, d 2.577, intensity 23.3
42.93°, d 2.107, intensity 23.3
51.58°, d 1.772, intensity 42.8
52.79°, d 1.734, intensity 39.0
60.66°, d 1.527, intensity 20.9
68.51°, d 1.370, intensity 17.5

=====

# La3Ti3CrO12
Theoretical XRD peak list, CuKα. Input: the GGA+U geometry in Alexandria.
Kinematic intensities with the Lorentz-polarization factor, no thermal factor.

Crystal structure
abc: 5.528 5.534 7.841
angles: 89.95 89.85 89.89
Sites, in units of the cell vectors:
La 0.000 0.000 0.000
La 0.009 0.962 0.509
La 0.501 0.505 0.991
Ti 0.001 0.486 0.266
Ti 0.495 0.991 0.742
Ti 0.502 0.993 0.258
Cr 0.997 0.485 0.747
O 0.065 0.473 0.000
O 0.207 0.202 0.275
O 0.219 0.203 0.725
O 0.240 0.733 0.266
O 0.258 0.733 0.730
O 0.437 0.985 0.000
O 0.562 0.990 0.497
O 0.725 0.248 0.204
O 0.731 0.244 0.792
O 0.752 0.753 0.207
O 0.765 0.760 0.789
O 0.944 0.500 0.495

The 12 most intense peaks (2θ from 5° to 70°), low angle first:
11.29°, d 7.841, intensity 15.7
16.02°, d 5.531, intensity 16.2
19.64°, d 4.520, intensity 18.4
25.45°, d 3.500, intensity 12.7
32.34°, d 2.769, intensity 100.0
32.39°, d 2.764, intensity 19.2
39.87°, d 2.261, intensity 16.9
46.35°, d 1.959, intensity 27.6
46.48°, d 1.954, intensity 13.9
57.62°, d 1.600, intensity 20.5
57.73°, d 1.597, intensity 22.9
67.71°, d 1.384, intensity 10.5

=====

# La6CoSn2O
Theoretical XRD peak list, CuKα. Input: the GGA+U geometry in Alexandria.
Kinematic intensities with the Lorentz-polarization factor, no thermal factor.

Crystal structure
abc: 7.464 7.443 7.339
angles: 60.65 60.36 58.99
Sites, in units of the cell vectors:
La 0.237 0.237 0.763
La 0.248 0.752 0.248
La 0.251 0.749 0.749
La 0.749 0.251 0.251
La 0.752 0.248 0.752
La 0.763 0.763 0.237
Co 0.500 0.500 0.500
Sn 0.250 0.250 0.250
Sn 0.750 0.750 0.750
O 0.000 0.000 0.000

The 12 most intense peaks (2θ from 5° to 70°), low angle first:
16.57°, d 5.350, intensity 1.5
29.52°, d 3.026, intensity 100.0
33.50°, d 2.675, intensity 23.8
34.47°, d 2.602, intensity 22.6
34.67°, d 2.587, intensity 22.2
48.83°, d 1.865, intensity 16.4
48.98°, d 1.860, intensity 16.3
49.69°, d 1.835, intensity 16.0
57.46°, d 1.604, intensity 14.7
58.73°, d 1.572, intensity 14.6
59.00°, d 1.565, intensity 14.4
61.27°, d 1.513, intensity 16.6